# 1
The following is a computed XRD peak list of Ce3PmIr. It was derived from a cell relaxed with GGA-PBE, using CuKα.

Crystal structure
Cell lengths 7.117, 5.910, 7.151 Å; angles 90.00, 117.85, 90.00 degrees
Element x y z (fractional)
Ce: 0.102 0.250 0.282
Ce: 0.228 0.750 0.125
Ce: 0.240 0.750 0.630
Ce: 0.760 0.250 0.370
Ce: 0.772 0.250 0.875
Ce: 0.898 0.750 0.718
Pm: 0.288 0.250 0.856
Pm: 0.712 0.750 0.144
Ir: 0.500 0.000 0.500
Ir: 0.500 0.500 0.500

Top 10 peaks for 2θ from 15° to 90°, most intense first:
32.11°, d = 2.788 Å, intensity 100.0
33.01°, d = 2.714 Å, intensity 98.1
41.94°, d = 2.154 Å, intensity 67.3
33.49°, d = 2.676 Å, intensity 59.8
37.37°, d = 2.406 Å, intensity 55.3
30.25°, d = 2.955 Å, intensity 36.7
39.63°, d = 2.274 Å, intensity 32.0
41.84°, d = 2.159 Å, intensity 31.0
38.39°, d = 2.345 Å, intensity 29.0
55.49°, d = 1.656 Å, intensity 28.2

***

# 2
The following is a computed XRD peak list of Sr2PrTe3. It was derived from a cell relaxed with GGA-PBE, using CuKα.

Crystal structure
Cell lengths 15.415, 14.697, 8.078 Å; angles 79.41, 69.59, 31.00 degrees
Element x y z (fractional)
Sr: 0.042 0.042 0.208
Sr: 0.124 0.124 0.626
Sr: 0.208 0.208 0.042
Sr: 0.374 0.374 0.876
Sr: 0.626 0.626 0.124
Sr: 0.792 0.792 0.958
Sr: 0.876 0.876 0.374
Sr: 0.958 0.958 0.792
Pr: 0.292 0.292 0.458
Pr: 0.458 0.458 0.292
Pr: 0.542 0.542 0.708
Pr: 0.708 0.708 0.542
Te: 0.040 0.541 0.216
Te: 0.131 0.619 0.619
Te: 0.216 0.702 0.040
Te: 0.298 0.784 0.459
Te: 0.381 0.869 0.869
Te: 0.459 0.960 0.298
Te: 0.541 0.040 0.702
Te: 0.619 0.131 0.131
Te: 0.702 0.216 0.541
Te: 0.784 0.298 0.960
Te: 0.869 0.381 0.381
Te: 0.960 0.459 0.784

Top 10 peaks for 2θ from 15° to 90°, most intense first:
27.07°, d = 3.294 Å, intensity 100.0
38.65°, d = 2.329 Å, intensity 51.3
63.10°, d = 1.473 Å, intensity 23.8
47.73°, d = 1.905 Å, intensity 14.0
47.92°, d = 1.898 Å, intensity 13.8
69.83°, d = 1.347 Å, intensity 13.1
70.08°, d = 1.343 Å, intensity 13.0
55.82°, d = 1.647 Å, intensity 13.0
38.55°, d = 2.336 Å, intensity 12.9
38.77°, d = 2.323 Å, intensity 12.7

***

# 3
The following is a computed XRD peak list of Na2LiAs2O6. It was derived from a cell relaxed with GGA-PBE, using CuKα.

Crystal structure
Cell lengths 5.183, 5.183, 5.828 Å; angles 90.00, 90.00, 120.00 degrees
Element x y z (fractional)
Na: 0.333 0.667 0.000
Na: 0.667 0.333 0.000
Li: 0.000 0.000 0.500
As: 0.333 0.667 0.500
As: 0.667 0.333 0.500
O: 0.000 0.371 0.682
O: 0.000 0.629 0.318
O: 0.371 0.000 0.682
O: 0.371 0.371 0.318
O: 0.629 0.000 0.318
O: 0.629 0.629 0.682

Top 10 peaks for 2θ from 15° to 90°, most intense first:
15.20°, d = 5.828 Å, intensity 100.0
19.78°, d = 4.488 Å, intensity 81.4
46.92°, d = 1.936 Å, intensity 78.7
34.61°, d = 2.591 Å, intensity 41.4
38.00°, d = 2.368 Å, intensity 33.7
62.03°, d = 1.496 Å, intensity 21.1
36.77°, d = 2.444 Å, intensity 21.1
25.04°, d = 3.556 Å, intensity 21.0
74.75°, d = 1.270 Å, intensity 15.3
59.47°, d = 1.554 Å, intensity 14.9

***

# 4
The following is a computed XRD peak list of Tb2DyZn2Ge2. It was derived from a cell relaxed with GGA-PBE, using CuKα.

Crystal structure
Cell lengths 11.343, 11.343, 11.343 Å; angles 20.99, 20.99, 20.99 degrees
Element x y z (fractional)
Tb: 0.123 0.123 0.123
Tb: 0.877 0.877 0.877
Dy: 0.000 0.000 0.000
Zn: 0.389 0.389 0.389
Zn: 0.611 0.611 0.611
Ge: 0.266 0.266 0.266
Ge: 0.734 0.734 0.734

Top 10 peaks for 2θ from 15° to 90°, most intense first:
33.02°, d = 2.713 Å, intensity 100.0
43.81°, d = 2.067 Å, intensity 57.2
31.28°, d = 2.859 Å, intensity 47.0
25.02°, d = 3.559 Å, intensity 28.9
61.31°, d = 1.512 Å, intensity 22.8
55.93°, d = 1.644 Å, intensity 22.1
73.63°, d = 1.287 Å, intensity 19.3
50.78°, d = 1.798 Å, intensity 14.9
40.68°, d = 2.218 Å, intensity 12.9
54.81°, d = 1.675 Å, intensity 9.7

***

# 5
The following is a computed XRD peak list of MgCu2O3. It was derived from a cell relaxed with GGA-PBE, using CuKα.

Crystal structure
Cell lengths 4.080, 9.454, 3.225 Å; angles 90.00, 90.00, 90.00 degrees
Element x y z (fractional)
Mg: 0.250 0.250 0.110
Mg: 0.750 0.750 0.890
Cu: 0.250 0.586 0.344
Cu: 0.250 0.914 0.344
Cu: 0.750 0.086 0.656
Cu: 0.750 0.414 0.656
O: 0.250 0.098 0.606
O: 0.250 0.402 0.606
O: 0.250 0.750 0.997
O: 0.750 0.250 0.003
O: 0.750 0.598 0.394
O: 0.750 0.902 0.394

Top 10 peaks for 2θ from 15° to 90°, most intense first:
40.00°, d = 2.254 Å, intensity 100.0
36.01°, d = 2.494 Å, intensity 79.6
35.48°, d = 2.530 Å, intensity 76.1
44.41°, d = 2.040 Å, intensity 71.5
61.29°, d = 1.513 Å, intensity 53.3
33.64°, d = 2.664 Å, intensity 47.6
23.75°, d = 3.746 Å, intensity 32.2
29.26°, d = 3.052 Å, intensity 31.5
27.66°, d = 3.225 Å, intensity 27.3
58.58°, d = 1.576 Å, intensity 26.9